(1)
# La2Sm5Dy2
Theoretical powder XRD pattern, Cu Ka. Input: the PBE geometry in Alexandria.
Kinematic intensities with the Lorentz-polarization factor, no thermal factor.

Structure:
abc: 3.642 5.665 15.259
angles: 79.39 89.97 90.00
Positions (direct):
La  0.001  0.434  0.127
La  0.999  0.566  0.873
Sm  0.001  0.785  0.430
Sm  0.499  0.114  0.776
Sm  0.500  0.000  0.000
Sm  0.501  0.886  0.224
Sm  0.999  0.215  0.570
Dy  0.499  0.677  0.645
Dy  0.501  0.323  0.355

Principal peaks in the range 15° ≤ 2θ ≤ 90°, in order of rising 2θ:
- 29.3 deg, rel. 277
- 30.4 deg, rel. 237
- 30.5 deg, rel. 484
- 31.1 deg, rel. 1000
- 31.6 deg, rel. 570
- 32.8 deg, rel. 643
- 44.4 deg, rel. 168
- 49.3 deg, rel. 164
- 56.0 deg, rel. 191
- 59.8 deg, rel. 184
- 60.2 deg, rel. 306
- 60.4 deg, rel. 191

(2)
# Y3ErPb4
Theoretical powder XRD pattern, Cu Ka. Input: the PBE geometry in Alexandria.
Kinematic intensities with the Lorentz-polarization factor, no thermal factor.

Structure:
abc: 11.170 6.401 6.402
angles: 90.00 90.00 90.00
Positions (direct):
Y  0.000  0.000  0.000
Y  0.250  0.252  0.250
Y  0.250  0.748  0.750
Y  0.500  0.000  0.500
Y  0.750  0.252  0.250
Y  0.750  0.748  0.750
Er  0.000  0.500  0.500
Er  0.500  0.500  0.000
Pb  0.000  0.000  0.500
Pb  0.000  0.500  0.000
Pb  0.250  0.249  0.750
Pb  0.250  0.751  0.250
Pb  0.500  0.000  0.000
Pb  0.500  0.500  0.500
Pb  0.750  0.249  0.750
Pb  0.750  0.751  0.250

Principal peaks in the range 15° ≤ 2θ ≤ 90°, in order of rising 2θ:
- 19.6 deg, rel. 51
- 25.3 deg, rel. 57
- 32.1 deg, rel. 253
- 32.2 deg, rel. 1000
- 39.8 deg, rel. 282
- 52.0 deg, rel. 263
- 57.2 deg, rel. 197
- 57.6 deg, rel. 97
- 67.5 deg, rel. 122
- 67.6 deg, rel. 241
- 80.9 deg, rel. 75
- 85.6 deg, rel. 132